Entry 1:
This entry pairs a crystal structure of Pm3RuBr with its computed X-ray diffraction stick pattern. Radiation: Cu Kα (λ = 1.5418 Å). Structure: a GGA-PBE-relaxed structure.
Intensities are scaled so that the largest is 100.

Top 12 peaks for 2θ = 15–90°, in order of rising 2θ:
24.99°, d = 3.563 Å, I = 15
25.58°, d = 3.483 Å, I = 31
28.88°, d = 3.092 Å, I = 54
30.47°, d = 2.934 Å, I = 18
33.94°, d = 2.641 Å, I = 100
37.04°, d = 2.427 Å, I = 24
37.60°, d = 2.392 Å, I = 18
43.47°, d = 2.082 Å, I = 24
44.73°, d = 2.026 Å, I = 22
48.70°, d = 1.870 Å, I = 17
57.61°, d = 1.600 Å, I = 15
68.26°, d = 1.374 Å, I = 12

Structural model:
Unit cell a=4.0519 b=7.4791 c=9.5688 alpha=90.00 beta=90.00 gamma=90.00
Space group Pmmn (No. 59, origin choice 2)
Symmetry-distinct sites (fractional):
Pm1 0.2500 0.9998 0.1548 [4 per cell]
Pm2 0.2500 0.2500 0.5914 [2 per cell]
Ru1 0.2500 0.2500 0.8968 [2 per cell]
Br1 0.2500 0.7500 0.6626 [2 per cell]

Entry 2:
This entry pairs a crystal structure of Pm4S5Br with its computed X-ray diffraction stick pattern. Radiation: Cu Kα (λ = 1.5418 Å). Structure: a GGA-PBE-relaxed structure.
Intensities are scaled so that the largest is 100.

Top 12 peaks for 2θ = 15–90°, in order of rising 2θ:
22.07°, d = 4.028 Å, I = 100
24.32°, d = 3.660 Å, I = 99
25.90°, d = 3.440 Å, I = 21
27.36°, d = 3.260 Å, I = 22
36.17°, d = 2.483 Å, I = 23
38.01°, d = 2.367 Å, I = 97
41.81°, d = 2.161 Å, I = 19
43.43°, d = 2.084 Å, I = 24
44.07°, d = 2.055 Å, I = 34
47.77°, d = 1.904 Å, I = 21
61.87°, d = 1.500 Å, I = 14
66.28°, d = 1.410 Å, I = 13

Structural model:
Unit cell a=8.6419 b=9.9336 c=6.8857 alpha=90.00 beta=90.00 gamma=90.00
Space group Pmmn (No. 59, origin choice 2)
Symmetry-distinct sites (fractional):
Pm1 0.0236 0.2500 0.0144 [4 per cell]
Pm2 0.2500 0.0233 0.5107 [4 per cell]
S1 0.0103 0.5487 0.2479 [8 per cell]
S2 0.2500 0.2500 0.2918 [2 per cell]
Br1 0.2500 0.7500 0.7100 [2 per cell]

Entry 3:
This entry pairs a crystal structure of PmSmSBr with its computed X-ray diffraction stick pattern. Radiation: Cu Kα (λ = 1.5418 Å). Structure: a GGA-PBE-relaxed structure.
Intensities are scaled so that the largest is 100.

Top 12 peaks for 2θ = 15–90°, in order of rising 2θ:
23.00°, d = 3.867 Å, I = 10
26.63°, d = 3.347 Å, I = 38
27.47°, d = 3.247 Å, I = 14
30.60°, d = 2.922 Å, I = 50
32.76°, d = 2.733 Å, I = 100
34.80°, d = 2.578 Å, I = 15
38.01°, d = 2.367 Å, I = 17
46.50°, d = 1.953 Å, I = 43
47.52°, d = 1.913 Å, I = 23
58.05°, d = 1.589 Å, I = 19
59.37°, d = 1.557 Å, I = 19
77.43°, d = 1.233 Å, I = 16

Structural model:
Unit cell a=6.7618 b=3.9076 c=8.0519 alpha=90.00 beta=106.16 gamma=90.00
Space group Cm (No. 8)
Symmetry-distinct sites (fractional):
Pm1 0.0000 0.0000 0.0000 [2 per cell]
Sm1 0.1972 0.0000 0.5915 [2 per cell]
S1 0.0987 0.5000 0.7964 [2 per cell]
Br1 0.2677 0.5000 0.3025 [2 per cell]

Entry 4:
This entry pairs a crystal structure of PmSb2Br8 with its computed X-ray diffraction stick pattern. Radiation: Cu Kα (λ = 1.5418 Å). Structure: a GGA-PBE-relaxed structure.
Intensities are scaled so that the largest is 100.

Top 12 peaks for 2θ = 15–90°, in order of rising 2θ:
18.53°, d = 4.787 Å, I = 50
23.09°, d = 3.851 Å, I = 36
23.78°, d = 3.741 Å, I = 51
28.87°, d = 3.093 Å, I = 69
29.96°, d = 2.983 Å, I = 100
33.82°, d = 2.650 Å, I = 50
34.57°, d = 2.595 Å, I = 24
36.33°, d = 2.473 Å, I = 26
37.58°, d = 2.393 Å, I = 57
42.17°, d = 2.143 Å, I = 25
43.32°, d = 2.089 Å, I = 23
47.86°, d = 1.901 Å, I = 26

Structural model:
Unit cell a=13.8118 b=9.5747 c=7.8406 alpha=90.00 beta=110.14 gamma=90.00
Space group C2/m (No. 12)
Symmetry-distinct sites (fractional):
Pm1 0.0000 0.0000 0.0000 [2 per cell]
Sb1 0.1452 0.0000 0.5747 [4 per cell]
Br1 0.0580 0.2003 0.7797 [8 per cell]
Br2 0.1739 0.5000 0.2014 [4 per cell]
Br3 0.2091 0.0000 0.2750 [4 per cell]

Entry 5:
This entry pairs a crystal structure of Pm4Sb2Br with its computed X-ray diffraction stick pattern. Radiation: Cu Kα (λ = 1.5418 Å). Structure: a GGA-PBE-relaxed structure.
Intensities are scaled so that the largest is 100.

Top 12 peaks for 2θ = 15–90°, in order of rising 2θ:
26.78°, d = 3.329 Å, I = 68
27.84°, d = 3.204 Å, I = 21
29.52°, d = 3.026 Å, I = 70
30.02°, d = 2.977 Å, I = 100
33.94°, d = 2.641 Å, I = 67
35.95°, d = 2.498 Å, I = 20
36.52°, d = 2.461 Å, I = 26
39.02°, d = 2.308 Å, I = 26
39.56°, d = 2.278 Å, I = 27
49.41°, d = 1.845 Å, I = 25
55.27°, d = 1.662 Å, I = 16
67.27°, d = 1.392 Å, I = 16

Structural model:
Unit cell a=7.6549 b=6.6479 c=9.1128 alpha=90.00 beta=107.17 gamma=90.00
Space group P2_1/m (No. 11)
Symmetry-distinct sites (fractional):
Pm1 0.0366 0.0041 0.2437 [4 per cell]
Pm2 0.4492 0.2500 0.1492 [2 per cell]
Pm3 0.4611 0.2500 0.5644 [2 per cell]
Sb1 0.2023 0.7500 0.5571 [2 per cell]
Sb2 0.2403 0.7500 0.0500 [2 per cell]
Br1 0.2920 0.2500 0.8125 [2 per cell]

Entry 6:
This entry pairs a crystal structure of Pm3Sb2Br2 with its computed X-ray diffraction stick pattern. Radiation: Cu Kα (λ = 1.5418 Å). Structure: a GGA-PBE-relaxed structure.
Intensities are scaled so that the largest is 100.

Top 12 peaks for 2θ = 15–90°, in order of rising 2θ:
19.16°, d = 4.632 Å, I = 11
28.37°, d = 3.146 Å, I = 100
29.53°, d = 3.025 Å, I = 43
33.72°, d = 2.658 Å, I = 11
37.71°, d = 2.386 Å, I = 9
40.02°, d = 2.253 Å, I = 17
40.84°, d = 2.209 Å, I = 34
41.09°, d = 2.197 Å, I = 20
41.97°, d = 2.153 Å, I = 32
51.42°, d = 1.777 Å, I = 26
58.69°, d = 1.573 Å, I = 12
74.74°, d = 1.270 Å, I = 10

Structural model:
Unit cell a=14.6133 b=4.3934 c=7.6827 alpha=90.00 beta=103.59 gamma=90.00
Space group C2/m (No. 12)
Symmetry-distinct sites (fractional):
Pm1 0.0000 0.0000 0.0000 [2 per cell]
Pm2 0.2450 0.0000 0.7722 [4 per cell]
Sb1 0.1126 0.5000 0.8499 [4 per cell]
Br1 0.1401 0.0000 0.3668 [4 per cell]